Record 1
Calculated XRD peak list
Compound: Fe5O8F2
Radiation: copper Kα
Structure: the PBE+U geometry in Alexandria
Kinematic intensities with the Lorentz-polarization factor, no thermal factor.

Top 6 peaks for 2θ from 5° to 70°, in order of rising 2θ:
| 2θ/deg | I/Imax |
| --- | --- |
| 25.01 | 98.1 |
| 27.73 | 100.0 |
| 35.26 | 99.5 |
| 51.11 | 22.4 |
| 53.98 | 25.7 |
| 54.15 | 26.1 |

Crystal structure
```
Fe5O8F2
1.0
4.7810 0.0000 0.0000
0.0000 15.0434 0.0000
-0.4868 0.0000 4.7920
Fe O F
10 16 4
direct
0.0000 0.0000 0.0000
0.0082 0.3936 0.9837
0.0082 0.6064 0.9837
0.4374 0.2903 0.5593
0.4374 0.7097 0.5593
0.4599 0.0974 0.5401
0.4599 0.9026 0.5401
0.4626 0.5000 0.6021
0.9107 0.1985 0.0893
0.9107 0.8015 0.0893
0.1472 0.2987 0.2401
0.1472 0.7013 0.2401
0.1489 0.0983 0.2340
0.1489 0.9017 0.2340
0.2796 0.0000 0.7181
0.2927 0.3940 0.7135
0.2927 0.6060 0.7135
0.6316 0.1984 0.3684
0.6316 0.8016 0.3684
0.7412 0.4555 0.3021
0.7412 0.5445 0.3021
0.7586 0.2970 0.8510
0.7586 0.7030 0.8510
0.7642 0.0984 0.8526
0.7642 0.9016 0.8526
0.8223 0.5000 0.8158
0.2363 0.5000 0.2046
0.2528 0.1942 0.7431
0.2528 0.8058 0.7431
0.6547 0.0000 0.3481
```

---

Record 2
Calculated XRD peak list
Compound: Fe6OF11
Radiation: copper Kα
Structure: the PBE+U geometry in Alexandria
Kinematic intensities with the Lorentz-polarization factor, no thermal factor.

Top 6 peaks for 2θ from 5° to 70°, in order of rising 2θ:
| 2θ/deg | I/Imax |
| --- | --- |
| 26.16 | 83.9 |
| 26.36 | 85.3 |
| 33.10 | 100.0 |
| 50.74 | 57.4 |
| 50.97 | 56.0 |
| 64.86 | 40.0 |

Crystal structure
```
Fe6OF11
1.0
4.7078 -3.4060 0.0000
4.7078 3.4060 0.0000
-2.5727 0.0000 7.0611
Fe O F
6 1 11
direct
0.0000 0.0000 0.0000
0.0035 0.0035 0.4834
0.3372 0.3372 0.8306
0.3425 0.3425 0.3270
0.6709 0.6709 0.6627
0.6937 0.6937 0.1616
0.8958 0.8958 0.1921
0.0409 0.6333 0.8200
0.1027 0.1027 0.7943
0.2387 0.2387 0.5261
0.3036 0.7029 0.5036
0.3800 0.9716 0.1606
0.4582 0.4582 0.1368
0.5820 0.5820 0.8783
0.6333 0.0409 0.8200
0.7029 0.3036 0.5036
0.7573 0.7573 0.4478
0.9716 0.3800 0.1606
```

---

Record 3
Calculated XRD peak list
Compound: Fe5O3F7
Radiation: copper Kα
Structure: the PBE+U geometry in Alexandria
Kinematic intensities with the Lorentz-polarization factor, no thermal factor.

Top 6 peaks for 2θ from 5° to 70°, in order of rising 2θ:
| 2θ/deg | I/Imax |
| --- | --- |
| 26.24 | 89.4 |
| 26.72 | 87.6 |
| 34.11 | 100.0 |
| 51.55 | 55.9 |
| 52.03 | 26.4 |
| 52.16 | 24.5 |

Crystal structure
```
Fe5O3F7
1.0
3.3361 -3.3959 0.0000
3.3361 3.3959 0.0000
-0.0411 0.0000 15.7620
Fe O F
10 6 14
direct
0.0004 0.9996 0.0000
0.0223 0.0141 0.8011
0.4710 0.4710 0.8992
0.4858 0.4606 0.6930
0.5231 0.4769 0.5000
0.5290 0.5290 0.1008
0.5394 0.5142 0.3070
0.9721 0.0122 0.3951
0.9859 0.9777 0.1989
0.9878 0.0279 0.6049
0.1785 0.1744 0.9023
0.1877 0.1868 0.7063
0.6863 0.3014 0.6043
0.6986 0.3137 0.3957
0.8132 0.8123 0.2937
0.8256 0.8215 0.0977
0.1922 0.1891 0.4980
0.2081 0.2166 0.2895
0.2111 0.2091 0.1000
0.2878 0.7015 0.6046
0.2898 0.6859 0.7948
0.2956 0.7044 0.0000
0.2985 0.7123 0.3954
0.3141 0.7102 0.2052
0.6921 0.2881 0.7963
0.7057 0.2943 0.0000
0.7119 0.3079 0.2037
0.7834 0.7919 0.7105
0.7909 0.7889 0.9000
0.8109 0.8078 0.5020
```

---

Record 4
Calculated XRD peak list
Compound: Fe2O2F5
Radiation: copper Kα
Structure: the PBE+U geometry in Alexandria
Kinematic intensities with the Lorentz-polarization factor, no thermal factor.

Top 6 peaks for 2θ from 5° to 70°, in order of rising 2θ:
| 2θ/deg | I/Imax |
| --- | --- |
| 17.02 | 100.0 |
| 19.08 | 25.2 |
| 28.23 | 67.7 |
| 29.03 | 22.7 |
| 34.43 | 43.9 |
| 50.81 | 56.4 |

Crystal structure
```
Fe2O2F5
1.0
-3.8120 5.6562 2.9344
3.8120 -5.6562 2.9344
3.8120 5.6562 -2.9344
Fe O F
4 4 10
direct
0.0000 0.0000 0.0000
0.5000 0.0000 0.0000
0.5000 0.0000 0.5000
0.5000 0.5000 0.5000
0.0459 0.5812 0.4647
0.3835 0.4188 0.9647
0.6165 0.5812 0.0353
0.9541 0.4188 0.5353
0.1615 0.2166 0.3074
0.1615 0.8541 0.9449
0.3925 0.6425 0.7500
0.4092 0.2166 0.5551
0.4092 0.8541 0.1926
0.5908 0.1459 0.8074
0.5908 0.7834 0.4449
0.6075 0.3575 0.2500
0.8385 0.1459 0.0551
0.8385 0.7834 0.6926
```

---

Record 5
Calculated XRD peak list
Compound: Fe3O2F4
Radiation: copper Kα
Structure: the PBE+U geometry in Alexandria
Kinematic intensities with the Lorentz-polarization factor, no thermal factor.

Top 6 peaks for 2θ from 5° to 70°, in order of rising 2θ:
| 2θ/deg | I/Imax |
| --- | --- |
| 26.06 | 96.8 |
| 26.35 | 95.9 |
| 34.11 | 100.0 |
| 51.34 | 56.0 |
| 51.67 | 58.5 |
| 65.41 | 29.8 |

Crystal structure
```
Fe3O2F4
1.0
4.6382 -3.3823 0.0000
4.6382 3.3823 0.0000
-2.9133 0.0000 6.9421
Fe O F
6 4 8
direct
0.0000 0.0000 0.0000
0.2926 0.3688 0.8147
0.3102 0.3136 0.3452
0.6312 0.7074 0.1853
0.6864 0.6898 0.6548
0.9968 0.0032 0.5000
0.0070 0.6430 0.8276
0.2224 0.2458 0.5414
0.3570 0.9930 0.1724
0.7542 0.7776 0.4586
0.0936 0.1279 0.8097
0.3094 0.6906 0.5000
0.4231 0.4497 0.1271
0.5503 0.5769 0.8729
0.6034 0.0447 0.8268
0.6779 0.3221 0.5000
0.8721 0.9064 0.1903
0.9553 0.3966 0.1732
```

---

Record 6
Calculated XRD peak list
Compound: Fe7O7F
Radiation: copper Kα
Structure: the PBE+U geometry in Alexandria
Kinematic intensities with the Lorentz-polarization factor, no thermal factor.

Top 6 peaks for 2θ from 5° to 70°, in order of rising 2θ:
| 2θ/deg | I/Imax |
| --- | --- |
| 28.74 | 100.0 |
| 29.35 | 64.9 |
| 35.54 | 85.0 |
| 36.05 | 44.8 |
| 41.60 | 60.1 |
| 51.69 | 85.6 |

Crystal structure
```
Fe7O7F
1.0
17.3661 0.0000 0.0000
0.0000 1.8058 3.0427
0.0000 -1.8058 3.0427
Fe O F
7 7 1
direct
0.0000 0.0000 0.0000
0.1304 0.3302 0.3302
0.2592 0.0037 0.0037
0.3890 0.3524 0.3524
0.6110 0.3524 0.3524
0.7408 0.0037 0.0037
0.8696 0.3302 0.3302
0.0000 0.3519 0.3519
0.1298 0.0022 0.0022
0.2628 0.3314 0.3314
0.3795 0.9579 0.9579
0.6205 0.9579 0.9579
0.7372 0.3314 0.3314
0.8702 0.0022 0.0022
0.5000 0.3425 0.3425
```